(1)
Computed powder diffractogram
Compound: Ca3CdGa2Ag6
Radiation: Cu Kα (weighted mean of Kα1 and Kα2)
Structure: a DFT-relaxed cell (GGA-PBE, Alexandria)
Lines closer than 0.1° are merged.

The 10 most intense peaks (15° ≤ 2θ ≤ 90°), in order of rising 2θ:
19.18 deg, d = 4.627 Å, intensity 25; 19.95 deg, d = 4.450 Å, intensity 49; 34.01 deg, d = 2.636 Å, intensity 32; 36.29 deg, d = 2.475 Å, intensity 78; 36.73 deg, d = 2.447 Å, intensity 100; 38.93 deg, d = 2.313 Å, intensity 27; 40.55 deg, d = 2.225 Å, intensity 35; 46.33 deg, d = 1.960 Å, intensity 37; 63.50 deg, d = 1.465 Å, intensity 26; 77.05 deg, d = 1.238 Å, intensity 20

Crystal structure
Cell: 5.8598 5.8598 9.2537 Å, 90.00 90.00 120.00°
Space group P-3m1 (No. 164)
One atom of each set of equivalent atoms:
Ca  0.0000  0.0000  0.0000 x1
Ca  0.3333  0.6667  0.6007 x2
Cd  0.0000  0.0000  0.5000 x1
Ga  0.3333  0.6667  0.9961 x2
Ag  0.1735  0.3471  0.2625 x6

(2)
Computed powder diffractogram
Compound: Ca4CdGaAg2
Radiation: Cu Kα (weighted mean of Kα1 and Kα2)
Structure: a DFT-relaxed cell (GGA-PBE, Alexandria)
Lines closer than 0.1° are merged.

The 10 most intense peaks (15° ≤ 2θ ≤ 90°), in order of rising 2θ:
23.82 deg, d = 3.736 Å, intensity 21; 33.93 deg, d = 2.642 Å, intensity 100; 41.88 deg, d = 2.157 Å, intensity 7; 48.75 deg, d = 1.868 Å, intensity 17; 54.96 deg, d = 1.671 Å, intensity 9; 60.72 deg, d = 1.525 Å, intensity 33; 71.42 deg, d = 1.321 Å, intensity 10; 76.49 deg, d = 1.245 Å, intensity 4; 81.47 deg, d = 1.181 Å, intensity 14; 86.38 deg, d = 1.126 Å, intensity 3

Crystal structure
Cell: 5.2812 5.2812 25.9048 Å, 90.00 90.00 120.00°
Space group R-3m (No. 166, hexagonal axes)
One atom of each set of equivalent atoms:
Ca  0.0000  0.0000  0.1214 x6
Ca  0.0000  0.0000  0.3716 x6
Cd  0.0000  0.0000  0.5000 x3
Ga  0.0000  0.0000  0.0000 x3
Ag  0.0000  0.0000  0.2477 x6

(3)
Computed powder diffractogram
Compound: Ca3Cd2GaAg8
Radiation: Cu Kα (weighted mean of Kα1 and Kα2)
Structure: a DFT-relaxed cell (GGA-PBE, Alexandria)
Lines closer than 0.1° are merged.

The 10 most intense peaks (15° ≤ 2θ ≤ 90°), in order of rising 2θ:
16.00 deg, d = 5.539 Å, intensity 47; 19.89 deg, d = 4.463 Å, intensity 47; 35.78 deg, d = 2.510 Å, intensity 38; 37.34 deg, d = 2.408 Å, intensity 100; 37.78 deg, d = 2.381 Å, intensity 100; 40.28 deg, d = 2.239 Å, intensity 40; 40.42 deg, d = 2.231 Å, intensity 50; 44.53 deg, d = 2.035 Å, intensity 40; 60.32 deg, d = 1.534 Å, intensity 46; 66.41 deg, d = 1.408 Å, intensity 36

Crystal structure
Cell: 5.6305 5.6305 11.0784 Å, 90.00 90.00 120.00°
Space group P-3m1 (No. 164)
One atom of each set of equivalent atoms:
Ca  0.0000  0.0000  0.0000 x1
Ca  0.3333  0.6667  0.5618 x2
Cd  0.3333  0.6667  0.0829 x2
Ga  0.0000  0.0000  0.5000 x1
Ag  0.1662  0.3325  0.2950 x6
Ag  0.3333  0.6667  0.8363 x2

(4)
Computed powder diffractogram
Compound: Ca2CdAgH
Radiation: Cu Kα (weighted mean of Kα1 and Kα2)
Structure: a DFT-relaxed cell (GGA-PBE, Alexandria)
Lines closer than 0.1° are merged.

The 10 most intense peaks (15° ≤ 2θ ≤ 90°), in order of rising 2θ:
20.20 deg, d = 4.396 Å, intensity 17; 25.65 deg, d = 3.473 Å, intensity 20; 32.87 deg, d = 2.725 Å, intensity 100; 36.59 deg, d = 2.456 Å, intensity 38; 41.06 deg, d = 2.198 Å, intensity 13; 42.15 deg, d = 2.144 Å, intensity 10; 52.72 deg, d = 1.736 Å, intensity 12; 56.16 deg, d = 1.638 Å, intensity 20; 63.53 deg, d = 1.464 Å, intensity 28; 68.92 deg, d = 1.363 Å, intensity 11

Crystal structure
Cell: 4.911 4.911 4.396 Å, 90.00 90.00 90.00°
Space group P4/mmm (No. 123)
One atom of each set of equivalent atoms:
Ca  0.000  0.500  0.000 x2
Cd  0.000  0.000  0.500 x1
Ag  0.500  0.500  0.500 x1
H  0.000  0.000  0.000 x1

(5)
Computed powder diffractogram
Compound: Ca4Cd2InAg
Radiation: Cu Kα (weighted mean of Kα1 and Kα2)
Structure: a DFT-relaxed cell (GGA-PBE, Alexandria)
Lines closer than 0.1° are merged.

The 10 most intense peaks (15° ≤ 2θ ≤ 90°), in order of rising 2θ:
23.32 deg, d = 3.814 Å, intensity 51; 33.12 deg, d = 2.705 Å, intensity 100; 33.32 deg, d = 2.689 Å, intensity 99; 41.07 deg, d = 2.198 Å, intensity 12; 47.68 deg, d = 1.907 Å, intensity 34; 59.03 deg, d = 1.565 Å, intensity 17; 59.41 deg, d = 1.556 Å, intensity 34; 59.54 deg, d = 1.553 Å, intensity 17; 79.29 deg, d = 1.208 Å, intensity 14; 79.62 deg, d = 1.204 Å, intensity 14

Crystal structure
Cell: 5.3788 5.3788 26.5812 Å, 90.00 90.00 120.00°
Space group R-3m (No. 166, hexagonal axes)
One atom of each set of equivalent atoms:
Ca  0.0000  0.0000  0.1229 x6
Ca  0.0000  0.0000  0.3732 x6
Cd  0.0000  0.0000  0.2478 x6
In  0.0000  0.0000  0.5000 x3
Ag  0.0000  0.0000  0.0000 x3

(6)
Computed powder diffractogram
Compound: Ca2Cd12InAg3
Radiation: Cu Kα (weighted mean of Kα1 and Kα2)
Structure: a DFT-relaxed cell (GGA-PBE, Alexandria)
Lines closer than 0.1° are merged.

The 10 most intense peaks (15° ≤ 2θ ≤ 90°), in order of rising 2θ:
17.40 deg, d = 5.098 Å, intensity 20; 32.57 deg, d = 2.749 Å, intensity 16; 35.21 deg, d = 2.549 Å, intensity 100; 37.16 deg, d = 2.420 Å, intensity 67; 41.30 deg, d = 2.186 Å, intensity 17; 52.12 deg, d = 1.755 Å, intensity 21; 63.18 deg, d = 1.472 Å, intensity 14; 64.46 deg, d = 1.446 Å, intensity 21; 68.23 deg, d = 1.374 Å, intensity 12; 89.72 deg, d = 1.093 Å, intensity 9

Crystal structure
Cell: 10.1954 10.1954 14.4638 Å, 90.00 90.00 120.00°
Space group R-3m (No. 166, hexagonal axes)
One atom of each set of equivalent atoms:
Ca  0.0000  0.0000  0.2406 x6
Cd  0.0013  0.5007  0.8022 x18
Cd  0.0369  0.5184  0.6028 x18
In  0.0000  0.0000  0.5000 x3
Ag  0.0000  0.5000  0.0000 x9